This entry pairs a crystal structure of Li4Co3TeO8 with its computed powder diffraction line list. Radiation: Cu Kα. Structure: a cell relaxed with PBE+U.

Cell lengths 6.1010, 6.1010, 14.6256 Å; angles 90.00, 90.00, 120.00 degrees
Space group R-3m (No. 166, hexagonal axes)
Asymmetric unit:
Li1 0.0000 0.0000 0.0000 (multiplicity 3)
Li2 0.0000 0.5000 0.0000 (multiplicity 9)
Co1 0.0000 0.5000 0.5000 (multiplicity 9)
Te1 0.0000 0.0000 0.5000 (multiplicity 3)
O1 0.0000 0.0000 0.2391 (multiplicity 6)
O2 0.0284 0.5142 0.2449 (multiplicity 18)

Peak list (10 most intense, 2θ from 10° to 90°, low angle first)
- 2θ = 17.85°, d = 4.969 Å, I 17, hkl 1 0 1
- 2θ = 18.20°, d = 4.875 Å, I 100, hkl 0 0 3
- 2θ = 34.50°, d = 2.600 Å, I 51, hkl 0 2 1
- 2θ = 36.15°, d = 2.485 Å, I 23, hkl 2 0 2
- 2θ = 42.20°, d = 2.141 Å, I 73, hkl 0 2 4
- 2θ = 46.31°, d = 1.961 Å, I 19, hkl 2 0 5
- 2θ = 56.12°, d = 1.639 Å, I 15, hkl 0 2 7
- 2θ = 60.72°, d = 1.525 Å, I 21, hkl 2 2 0
- 2θ = 61.70°, d = 1.503 Å, I 20, hkl 2 0 8
- 2θ = 63.96°, d = 1.456 Å, I 18, hkl 2 2 3



This entry pairs a crystal structure of Li3Co4TeO8 with its computed powder diffraction line list. Radiation: Cu Kα. Structure: a cell relaxed with PBE+U.

Cell lengths 10.402, 6.175, 6.185 Å; angles 90.00, 125.55, 90.00 degrees
Space group C2/m (No. 12)
Asymmetric unit:
Li1 0.000 0.000 0.000 (multiplicity 2)
Li2 0.250 0.250 0.500 (multiplicity 4)
Co1 0.000 0.000 0.500 (multiplicity 2)
Co2 0.000 0.500 0.000 (multiplicity 2)
Co3 0.250 0.250 0.000 (multiplicity 4)
Te1 0.000 0.500 0.500 (multiplicity 2)
O1 0.002 0.260 0.262 (multiplicity 8)
O2 0.245 0.500 0.752 (multiplicity 4)
O3 0.250 0.000 0.769 (multiplicity 4)

Peak list (10 most intense, 2θ from 10° to 90°, low angle first)
- 2θ = 17.78°, d = 4.988 Å, I 51, hkl 1 1 0
- 2θ = 17.90°, d = 4.955 Å, I 98, hkl 2 0 -1
- 2θ = 34.07°, d = 2.632 Å, I 33, hkl 0 2 1
- 2θ = 35.69°, d = 2.516 Å, I 19, hkl 0 0 2
- 2θ = 36.01°, d = 2.494 Å, I 37, hkl 2 2 0
- 2θ = 41.32°, d = 2.185 Å, I 100, hkl 2 2 -2
- 2θ = 42.74°, d = 2.116 Å, I 45, hkl 4 0 0
- 2θ = 59.87°, d = 1.545 Å, I 29, hkl 0 4 0
- 2θ = 60.57°, d = 1.529 Å, I 28, hkl 2 2 2
- 2θ = 61.34°, d = 1.511 Å, I 27, hkl 6 2 -2



This entry pairs a crystal structure of Li3Co3TeO8 with its computed powder diffraction line list. Radiation: Cu Kα. Structure: a cell relaxed with PBE+U.

Cell lengths 10.451, 6.099, 6.046 Å; angles 90.00, 124.88, 90.00 degrees
Space group C2/m (No. 12)
Asymmetric unit:
Li1 0.000 0.000 0.000 (multiplicity 2)
Li2 0.250 0.250 0.500 (multiplicity 4)
Co1 0.000 0.500 0.500 (multiplicity 2)
Co2 0.250 0.250 0.000 (multiplicity 4)
Te1 0.000 0.000 0.500 (multiplicity 2)
O1 0.002 0.229 0.274 (multiplicity 8)
O2 0.224 0.500 0.739 (multiplicity 4)
O3 0.227 0.000 0.731 (multiplicity 4)

Peak list (10 most intense, 2θ from 10° to 90°, low angle first)
- 2θ = 17.86°, d = 4.966 Å, I 18, hkl 0 0 1
- 2θ = 18.02°, d = 4.922 Å, I 100, hkl 2 0 -1
- 2θ = 34.56°, d = 2.596 Å, I 49, hkl 0 2 1
- 2θ = 36.17°, d = 2.483 Å, I 20, hkl 2 2 0
- 2θ = 42.11°, d = 2.146 Å, I 64, hkl 2 2 -2
- 2θ = 46.15°, d = 1.967 Å, I 17, hkl 2 0 -3
- 2θ = 55.81°, d = 1.647 Å, I 15, hkl 6 0 -1
- 2θ = 60.90°, d = 1.521 Å, I 12, hkl 2 2 2
- 2θ = 61.31°, d = 1.512 Å, I 18, hkl 4 0 -4
- 2θ = 64.07°, d = 1.453 Å, I 11, hkl 4 2 1



This entry pairs a crystal structure of Li4V3Co3Te2O16 with its computed powder diffraction line list. Radiation: Cu Kα. Structure: a cell relaxed with PBE+U.

Cell lengths 5.891, 6.047, 10.284 Å; angles 89.93, 89.81, 60.93 degrees
Space group P1 (No. 1)
Asymmetric unit:
Li1 0.000 0.000 0.000 (multiplicity 1)
Li2 0.005 0.990 0.489 (multiplicity 1)
Li3 0.347 0.301 0.079 (multiplicity 1)
Li4 0.665 0.659 0.583 (multiplicity 1)
V1 0.163 0.184 0.764 (multiplicity 1)
V2 0.664 0.171 0.763 (multiplicity 1)
V3 0.826 0.345 0.250 (multiplicity 1)
Co1 0.175 0.653 0.780 (multiplicity 1)
Co2 0.349 0.815 0.269 (multiplicity 1)
Co3 0.833 0.815 0.270 (multiplicity 1)
Te1 0.335 0.325 0.471 (multiplicity 1)
Te2 0.652 0.693 0.988 (multiplicity 1)
O1 0.012 0.994 0.677 (multiplicity 1)
O2 0.018 0.458 0.667 (multiplicity 1)
O3 0.169 0.660 0.389 (multiplicity 1)
O4 0.170 0.155 0.381 (multiplicity 1)
O5 0.323 0.843 0.894 (multiplicity 1)
O6 0.337 0.297 0.877 (multiplicity 1)
O7 0.477 0.013 0.666 (multiplicity 1)
O8 0.522 0.455 0.672 (multiplicity 1)
O9 0.529 0.942 0.130 (multiplicity 1)
O10 0.538 0.469 0.153 (multiplicity 1)
O11 0.672 0.155 0.383 (multiplicity 1)
O12 0.695 0.605 0.374 (multiplicity 1)
O13 0.825 0.853 0.890 (multiplicity 1)
O14 0.874 0.273 0.874 (multiplicity 1)
O15 0.990 0.015 0.185 (multiplicity 1)
O16 0.991 0.469 0.154 (multiplicity 1)

Peak list (10 most intense, 2θ from 10° to 90°, low angle first)
- 2θ = 17.24°, d = 5.143 Å, I 38, hkl 0 0 2
- 2θ = 18.88°, d = 4.701 Å, I 62, hkl 0 1 1
- 2θ = 19.29°, d = 4.602 Å, I 100, hkl 1 0 1
- 2θ = 24.47°, d = 3.637 Å, I 45, hkl 1 1 2
- 2θ = 31.10°, d = 2.876 Å, I 36, hkl 0 1 3
- 2θ = 31.35°, d = 2.853 Å, I 55, hkl 1 0 3
- 2θ = 34.41°, d = 2.607 Å, I 62, hkl 1 2 -2
- 2θ = 35.06°, d = 2.560 Å, I 33, hkl 2 1 2
- 2θ = 35.98°, d = 2.496 Å, I 44, hkl 2 0 1
- 2θ = 61.31°, d = 1.512 Å, I 26, hkl 2 4 0